# 1
# CsGeSb
Computed powder X-ray diffraction pattern, Cu Kα. Input: the GGA-PBE geometry in Alexandria.
Lines closer than 0.1° are merged.

The 10 most intense peaks (10 to 90 degrees two-theta), low angle first:
2θ 26.05, I = 16
2θ 27.05, I = 100
2θ 35.47, I = 28
2θ 41.58, I = 30
2θ 46.57, I = 18
2θ 49.73, I = 16
2θ 50.31, I = 18
2θ 55.78, I = 8
2θ 59.35, I = 10
2θ 67.26, I = 15

Cell and atoms:
Unit cell a=4.3436 b=4.3436 c=6.8422 alpha=90.00 beta=90.00 gamma=120.00
Atoms (fractional coordinates):
Cs (0.0000, 0.0000, 0.0000)
Ge (0.3333, 0.6667, 0.3854)
Sb (0.6667, 0.3333, 0.5696)

# 2
# Cs3Ge2Sb4
Computed powder X-ray diffraction pattern, Cu Kα. Input: the GGA-PBE geometry in Alexandria.
Lines closer than 0.1° are merged.

The 10 most intense peaks (10 to 90 degrees two-theta), low angle first:
2θ 15.19, I = 26
2θ 25.45, I = 63
2θ 25.61, I = 100
2θ 26.95, I = 81
2θ 27.51, I = 52
2θ 27.81, I = 28
2θ 29.10, I = 37
2θ 32.76, I = 69
2θ 34.56, I = 27
2θ 50.14, I = 26

Cell and atoms:
Unit cell a=11.5674 b=11.5674 c=7.3308 alpha=94.83 beta=94.83 gamma=64.62
Atoms (fractional coordinates):
Cs (0.1614, 0.8386, 0.7500)
Cs (0.1879, 0.4439, 0.4434)
Cs (0.4439, 0.1879, 0.9434)
Cs (0.5561, 0.8121, 0.0566)
Cs (0.8121, 0.5561, 0.5566)
Cs (0.8386, 0.1614, 0.2500)
Ge (0.0848, 0.3362, 0.9530)
Ge (0.3362, 0.0848, 0.4530)
Ge (0.6638, 0.9152, 0.5470)
Ge (0.9152, 0.6638, 0.0470)
Sb (0.1147, 0.1784, 0.6324)
Sb (0.1577, 0.5290, 0.9585)
Sb (0.1784, 0.1147, 0.1324)
Sb (0.4710, 0.8423, 0.5415)
Sb (0.5290, 0.1577, 0.4585)
Sb (0.8216, 0.8853, 0.8676)
Sb (0.8423, 0.4710, 0.0415)
Sb (0.8853, 0.8216, 0.3676)

# 3
# CsScGeSe
Computed powder X-ray diffraction pattern, Cu Kα. Input: the GGA-PBE geometry in Alexandria.
Lines closer than 0.1° are merged.

The 10 most intense peaks (10 to 90 degrees two-theta), low angle first:
2θ 26.97, I = 14
2θ 28.64, I = 92
2θ 33.19, I = 100
2θ 47.65, I = 56
2θ 56.53, I = 36
2θ 59.30, I = 20
2θ 77.02, I = 13
2θ 79.33, I = 12
2θ 79.44, I = 11
2θ 88.83, I = 10

Cell and atoms:
Unit cell a=3.8152 b=3.8152 c=9.3476 alpha=90.04 beta=90.04 gamma=60.11
Atoms (fractional coordinates):
Cs (0.0000, 0.0000, 0.0000)
Sc (0.9998, 0.9998, 0.5350)
Ge (0.6662, 0.6662, 0.3158)
Se (0.3339, 0.3339, 0.6973)

# 4
# CsScGeSe
Computed powder X-ray diffraction pattern, Cu Kα. Input: the GGA-PBE geometry in Alexandria.
Lines closer than 0.1° are merged.

The 10 most intense peaks (10 to 90 degrees two-theta), low angle first:
2θ 22.84, I = 25
2θ 25.92, I = 53
2θ 27.46, I = 40
2θ 27.77, I = 42
2θ 32.36, I = 100
2θ 32.79, I = 46
2θ 36.50, I = 21
2θ 47.46, I = 19
2θ 52.71, I = 21
2θ 55.65, I = 25

Cell and atoms:
Unit cell a=4.1269 b=3.8317 c=8.0338 alpha=90.00 beta=104.24 gamma=90.00
Atoms (fractional coordinates):
Cs (0.0000, 0.0000, 0.0000)
Sc (0.9377, 0.0000, 0.5099)
Ge (0.4811, 0.5000, 0.5903)
Se (0.6297, 0.5000, 0.2864)

# 5
# Cs2GeSe2
Computed powder X-ray diffraction pattern, Cu Kα. Input: the GGA-PBE geometry in Alexandria.
Lines closer than 0.1° are merged.

The 10 most intense peaks (10 to 90 degrees two-theta), low angle first:
2θ 20.19, I = 47
2θ 20.84, I = 63
2θ 23.75, I = 62
2θ 25.23, I = 56
2θ 27.06, I = 100
2θ 30.06, I = 40
2θ 32.64, I = 60
2θ 33.05, I = 81
2θ 38.15, I = 35
2θ 47.14, I = 37

Cell and atoms:
Unit cell a=9.8102 b=9.9332 c=9.1597 alpha=90.00 beta=105.86 gamma=90.00
Atoms (fractional coordinates):
Cs (0.0868, 0.2271, 0.0458)
Cs (0.0868, 0.2729, 0.5458)
Cs (0.3556, 0.6827, 0.9858)
Cs (0.3556, 0.8173, 0.4858)
Cs (0.6444, 0.1827, 0.5142)
Cs (0.6444, 0.3173, 0.0142)
Cs (0.9132, 0.7271, 0.4542)
Cs (0.9132, 0.7729, 0.9542)
Ge (0.3519, 0.0824, 0.8767)
Ge (0.3519, 0.4176, 0.3767)
Ge (0.6481, 0.5824, 0.6233)
Ge (0.6481, 0.9176, 0.1233)
Se (0.1458, 0.5578, 0.2534)
Se (0.1458, 0.9422, 0.7534)
Se (0.4242, 0.0246, 0.1663)
Se (0.4242, 0.4754, 0.6663)
Se (0.5758, 0.5246, 0.3337)
Se (0.5758, 0.9754, 0.8337)
Se (0.8542, 0.0578, 0.2466)
Se (0.8542, 0.4422, 0.7466)

# 6
# CsSmGeSe3
Computed powder X-ray diffraction pattern, Cu Kα. Input: the GGA-PBE geometry in Alexandria.
Lines closer than 0.1° are merged.

The 10 most intense peaks (10 to 90 degrees two-theta), low angle first:
2θ 10.49, I = 79
2θ 26.36, I = 35
2θ 28.85, I = 27
2θ 29.83, I = 100
2θ 30.61, I = 65
2θ 33.64, I = 23
2θ 36.34, I = 28
2θ 43.57, I = 30
2θ 44.10, I = 43
2θ 54.18, I = 31

Cell and atoms:
Unit cell a=9.2802 b=4.1546 c=11.7001 alpha=90.00 beta=111.38 gamma=90.00
Atoms (fractional coordinates):
Cs (0.2389, 0.2500, 0.2811)
Cs (0.7611, 0.7500, 0.7189)
Sm (0.3619, 0.7500, 0.8448)
Sm (0.6381, 0.2500, 0.1552)
Ge (0.1260, 0.2500, 0.5628)
Ge (0.8740, 0.7500, 0.4372)
Se (0.1162, 0.2500, 0.7719)
Se (0.3165, 0.7500, 0.5805)
Se (0.4041, 0.7500, 0.1032)
Se (0.5959, 0.2500, 0.8968)
Se (0.6835, 0.2500, 0.4195)
Se (0.8838, 0.7500, 0.2281)

# 7
# Cs2GeTeSe4
Computed powder X-ray diffraction pattern, Cu Kα. Input: the GGA-PBE geometry in Alexandria.
Lines closer than 0.1° are merged.

The 10 most intense peaks (10 to 90 degrees two-theta), low angle first:
2θ 21.01, I = 33
2θ 25.89, I = 45
2θ 26.13, I = 100
2θ 29.88, I = 39
2θ 33.54, I = 21
2θ 40.10, I = 70
2θ 48.12, I = 26
2θ 48.87, I = 25
2θ 60.07, I = 18
2θ 68.53, I = 15

Cell and atoms:
Unit cell a=7.2804 b=7.2804 c=7.2804 alpha=108.99 beta=108.99 gamma=110.45
Atoms (fractional coordinates):
Cs (0.0000, 0.0000, 0.0000)
Cs (0.7500, 0.2500, 0.5000)
Ge (0.5000, 0.5000, 0.0000)
Te (0.2500, 0.7500, 0.5000)
Se (0.2043, 0.5408, 0.0560)
Se (0.4592, 0.5152, 0.6635)
Se (0.4848, 0.1483, 0.9440)
Se (0.8517, 0.7957, 0.3365)

# 8
# Cs2ZnGe3Se8
Computed powder X-ray diffraction pattern, Cu Kα. Input: the GGA-PBE geometry in Alexandria.
Lines closer than 0.1° are merged.

The 10 most intense peaks (10 to 90 degrees two-theta), low angle first:
2θ 12.89, I = 40
2θ 19.96, I = 26
2θ 24.50, I = 43
2θ 26.00, I = 65
2θ 27.02, I = 32
2θ 28.06, I = 100
2θ 30.60, I = 23
2θ 30.76, I = 23
2θ 47.24, I = 25
2θ 55.85, I = 26

Cell and atoms:
Unit cell a=7.6959 b=13.7331 c=17.9377 alpha=90.00 beta=90.00 gamma=90.00
Atoms (fractional coordinates):
Cs (0.2360, 0.2063, 0.3505)
Cs (0.2477, 0.1297, 0.9443)
Cs (0.2523, 0.8703, 0.4443)
Cs (0.2640, 0.7937, 0.8505)
Cs (0.7360, 0.2937, 0.6495)
Cs (0.7477, 0.3703, 0.0557)
Cs (0.7523, 0.6297, 0.5557)
Cs (0.7640, 0.7063, 0.1495)
Zn (0.0106, 0.9931, 0.6495)
Zn (0.4894, 0.0069, 0.1495)
Zn (0.5106, 0.5069, 0.3505)
Zn (0.9894, 0.4931, 0.8505)
Ge (0.0098, 0.5258, 0.3486)
Ge (0.2317, 0.5491, 0.6822)
Ge (0.2393, 0.5485, 0.0201)
Ge (0.2607, 0.4515, 0.5201)
Ge (0.2683, 0.4509, 0.1822)
Ge (0.4902, 0.4742, 0.8486)
Ge (0.5098, 0.9742, 0.6514)
Ge (0.7317, 0.9509, 0.3178)
Ge (0.7393, 0.9515, 0.9799)
Ge (0.7607, 0.0485, 0.4799)
Ge (0.7683, 0.0491, 0.8178)
Ge (0.9902, 0.0258, 0.1514)
Se (0.0040, 0.9145, 0.2581)
Se (0.0047, 0.9135, 0.0449)
Se (0.0147, 0.1083, 0.7574)
Se (0.0179, 0.1007, 0.5360)
Se (0.2263, 0.3799, 0.6428)
Se (0.2384, 0.3775, 0.8468)
Se (0.2405, 0.1247, 0.1511)
Se (0.2421, 0.3786, 0.0586)
Se (0.2579, 0.6214, 0.5586)
Se (0.2595, 0.8753, 0.6511)
Se (0.2616, 0.6225, 0.3468)
Se (0.2737, 0.6201, 0.1428)
Se (0.4821, 0.8993, 0.0360)
Se (0.4853, 0.8917, 0.2574)
Se (0.4953, 0.0865, 0.5449)
Se (0.4960, 0.0855, 0.7581)
Se (0.5040, 0.5855, 0.7419)
Se (0.5047, 0.5865, 0.9551)
Se (0.5147, 0.3917, 0.2426)
Se (0.5179, 0.3993, 0.4640)
Se (0.7263, 0.1201, 0.3572)
Se (0.7384, 0.1225, 0.1532)
Se (0.7405, 0.3753, 0.8489)
Se (0.7421, 0.1214, 0.9414)
Se (0.7579, 0.8786, 0.4414)
Se (0.7595, 0.6247, 0.3489)
Se (0.7616, 0.8775, 0.6532)
Se (0.7737, 0.8799, 0.8572)
Se (0.9821, 0.6007, 0.9640)
Se (0.9853, 0.6083, 0.7426)
Se (0.9953, 0.4135, 0.4551)
Se (0.9960, 0.4145, 0.2419)

# 9
# CsSn3Ge3
Computed powder X-ray diffraction pattern, Cu Kα. Input: the GGA-PBE geometry in Alexandria.
Lines closer than 0.1° are merged.

The 10 most intense peaks (10 to 90 degrees two-theta), low angle first:
2θ 22.99, I = 42
2θ 28.25, I = 100
2θ 40.38, I = 26
2θ 43.78, I = 61
2θ 46.98, I = 30
2θ 52.93, I = 17
2θ 55.73, I = 15
2θ 66.15, I = 18
2θ 68.62, I = 20
2θ 75.79, I = 18

Cell and atoms:
Unit cell a=7.7368 b=7.7368 c=7.7368 alpha=90.00 beta=90.00 gamma=90.00
Atoms (fractional coordinates):
Cs (0.0000, 0.0000, 0.0000)
Cs (0.5000, 0.5000, 0.5000)
Sn (0.0000, 0.2500, 0.5000)
Sn (0.0000, 0.7500, 0.5000)
Sn (0.2500, 0.5000, 0.0000)
Sn (0.5000, 0.0000, 0.2500)
Sn (0.5000, 0.0000, 0.7500)
Sn (0.7500, 0.5000, 0.0000)
Ge (0.0000, 0.5000, 0.2500)
Ge (0.0000, 0.5000, 0.7500)
Ge (0.2500, 0.0000, 0.5000)
Ge (0.5000, 0.2500, 0.0000)
Ge (0.5000, 0.7500, 0.0000)
Ge (0.7500, 0.0000, 0.5000)

# 10
# Cs2Sn2Ge
Computed powder X-ray diffraction pattern, Cu Kα. Input: the GGA-PBE geometry in Alexandria.
Lines closer than 0.1° are merged.

The 10 most intense peaks (10 to 90 degrees two-theta), low angle first:
2θ 12.94, I = 20
2θ 23.83, I = 20
2θ 25.01, I = 27
2θ 26.81, I = 34
2θ 27.35, I = 100
2θ 28.40, I = 29
2θ 29.46, I = 70
2θ 31.61, I = 30
2θ 46.31, I = 25
2θ 53.59, I = 21

Cell and atoms:
Unit cell a=7.8658 b=7.8658 c=8.0651 alpha=99.64 beta=99.64 gamma=60.91
Atoms (fractional coordinates):
Cs (0.0133, 0.2775, 0.1110)
Cs (0.2775, 0.0133, 0.6110)
Cs (0.7225, 0.9867, 0.3890)
Cs (0.9867, 0.7225, 0.8890)
Sn (0.2536, 0.5122, 0.4755)
Sn (0.4878, 0.7464, 0.0245)
Sn (0.5122, 0.2536, 0.9755)
Sn (0.7464, 0.4878, 0.5245)
Ge (0.4754, 0.5246, 0.2500)
Ge (0.5246, 0.4754, 0.7500)

# 11
# CsSnGe
Computed powder X-ray diffraction pattern, Cu Kα. Input: the GGA-PBE geometry in Alexandria.
Lines closer than 0.1° are merged.

The 10 most intense peaks (10 to 90 degrees two-theta), low angle first:
2θ 12.98, I = 27
2θ 22.08, I = 31
2θ 22.81, I = 53
2θ 28.29, I = 100
2θ 31.78, I = 99
2θ 34.29, I = 56
2θ 36.65, I = 28
2θ 42.51, I = 26
2θ 45.60, I = 40
2θ 55.71, I = 39

Cell and atoms:
Unit cell a=8.3310 b=8.3310 c=7.7958 alpha=117.85 beta=117.85 gamma=29.58
Atoms (fractional coordinates):
Cs (0.1565, 0.1565, 0.1558)
Cs (0.8435, 0.8435, 0.8442)
Sn (0.0885, 0.1289, 0.6085)
Sn (0.8711, 0.9115, 0.3915)
Ge (0.5050, 0.4954, 0.3227)
Ge (0.5046, 0.4950, 0.6773)

# 12
# Cs3GeTe3
Computed powder X-ray diffraction pattern, Cu Kα. Input: the GGA-PBE geometry in Alexandria.
Lines closer than 0.1° are merged.

The 10 most intense peaks (10 to 90 degrees two-theta), low angle first:
2θ 20.56, I = 30
2θ 25.23, I = 24
2θ 25.69, I = 100
2θ 25.82, I = 35
2θ 26.29, I = 71
2θ 26.92, I = 47
2θ 27.91, I = 33
2θ 28.41, I = 29
2θ 30.40, I = 35
2θ 44.61, I = 31

Cell and atoms:
Unit cell a=11.4923 b=11.4923 c=10.4759 alpha=95.12 beta=95.12 gamma=81.87
Atoms (fractional coordinates):
Cs (0.0853, 0.9147, 0.7500)
Cs (0.1695, 0.6523, 0.3744)
Cs (0.2413, 0.2496, 0.7411)
Cs (0.2496, 0.2413, 0.2411)
Cs (0.3477, 0.8305, 0.1256)
Cs (0.4133, 0.5867, 0.7500)
Cs (0.5867, 0.4133, 0.2500)
Cs (0.6523, 0.1695, 0.8744)
Cs (0.7504, 0.7587, 0.7589)
Cs (0.7587, 0.7504, 0.2589)
Cs (0.8305, 0.3477, 0.6256)
Cs (0.9147, 0.0853, 0.2500)
Ge (0.0704, 0.5681, 0.9633)
Ge (0.4319, 0.9296, 0.5367)
Ge (0.5681, 0.0704, 0.4633)
Ge (0.9296, 0.4319, 0.0367)
Te (0.0100, 0.7863, 0.0566)
Te (0.0604, 0.5656, 0.7105)
Te (0.2137, 0.9900, 0.4434)
Te (0.2890, 0.4959, 0.0484)
Te (0.4344, 0.9396, 0.7895)
Te (0.4959, 0.2890, 0.5484)
Te (0.5041, 0.7110, 0.4516)
Te (0.5656, 0.0604, 0.2105)
Te (0.7110, 0.5041, 0.9516)
Te (0.7863, 0.0100, 0.5566)
Te (0.9396, 0.4344, 0.2895)
Te (0.9900, 0.2137, 0.9434)

Repeat the second record exactly.
# Cs3Ge2Sb4
Computed powder X-ray diffraction pattern, Cu Kα. Input: the GGA-PBE geometry in Alexandria.
Lines closer than 0.1° are merged.

The 10 most intense peaks (10 to 90 degrees two-theta), low angle first:
2θ 15.19, I = 26
2θ 25.45, I = 63
2θ 25.61, I = 100
2θ 26.95, I = 81
2θ 27.51, I = 52
2θ 27.81, I = 28
2θ 29.10, I = 37
2θ 32.76, I = 69
2θ 34.56, I = 27
2θ 50.14, I = 26

Cell and atoms:
Unit cell a=11.5674 b=11.5674 c=7.3308 alpha=94.83 beta=94.83 gamma=64.62
Atoms (fractional coordinates):
Cs (0.1614, 0.8386, 0.7500)
Cs (0.1879, 0.4439, 0.4434)
Cs (0.4439, 0.1879, 0.9434)
Cs (0.5561, 0.8121, 0.0566)
Cs (0.8121, 0.5561, 0.5566)
Cs (0.8386, 0.1614, 0.2500)
Ge (0.0848, 0.3362, 0.9530)
Ge (0.3362, 0.0848, 0.4530)
Ge (0.6638, 0.9152, 0.5470)
Ge (0.9152, 0.6638, 0.0470)
Sb (0.1147, 0.1784, 0.6324)
Sb (0.1577, 0.5290, 0.9585)
Sb (0.1784, 0.1147, 0.1324)
Sb (0.4710, 0.8423, 0.5415)
Sb (0.5290, 0.1577, 0.4585)
Sb (0.8216, 0.8853, 0.8676)
Sb (0.8423, 0.4710, 0.0415)
Sb (0.8853, 0.8216, 0.3676)